No. 1
Structure and computed XRD peak list of Li7Mn3Co3O16 (a crystal structure in the Materials Project, relaxed with PBE+U; λ = 1.5418 Å (Cu Kα)).
Peak positions follow from Bragg's law for the DFT cell and can differ from measured ones.

Unit cell a=9.8367 b=5.6651 c=9.9215 alpha=90.00 beta=92.82 gamma=90.00
Space group Cm (No. 8)
Unique sites:
Li (0.0000, 0.0000, 0.0000) x2
Li (0.0011, 0.0000, 0.2177) x2
Li (0.0034, 0.0000, 0.4432) x2
Li (0.1905, 0.5000, 0.9302) x2
Li (0.2505, 0.2433, 0.4652) x4
Li (0.3511, 0.0000, 0.9219) x2
Mn (0.0028, 0.5000, 0.2155) x2
Mn (0.0881, 0.2485, 0.7031) x4
Co (0.2522, 0.2481, 0.2087) x4
Co (0.3352, 0.5000, 0.7114) x2
O (0.0104, 0.0000, 0.8091) x2
O (0.0238, 0.5000, 0.8109) x2
O (0.0994, 0.2552, 0.3166) x4
O (0.1547, 0.0000, 0.5890) x2
O (0.1634, 0.5000, 0.1114) x2
O (0.1692, 0.5000, 0.6002) x2
O (0.1752, 0.0000, 0.1076) x2
O (0.2571, 0.2636, 0.8079) x4
O (0.3291, 0.5000, 0.3158) x2
O (0.3374, 0.0000, 0.3165) x2
O (0.4086, 0.2394, 0.1060) x4
O (0.4183, 0.2892, 0.5962) x4

Peak list (10 most intense, 10° ≤ 2θ ≤ 90°, by angle)
- 2θ 17.90, rel. 100, hkl 0 0 2
- 2θ 18.07, rel. 8, hkl 2 0 0
- 2θ 19.99, rel. 11, hkl 1 1 -1
- 2θ 20.39, rel. 12, hkl 1 1 1
- 2θ 37.25, rel. 8, hkl 4 0 -1
- 2θ 37.54, rel. 8, hkl 2 2 -1
- 2θ 37.99, rel. 11, hkl 2 2 1
- 2θ 45.50, rel. 13, hkl 2 2 -3
- 2θ 46.65, rel. 13, hkl 2 2 3
- 2θ 65.91, rel. 16, hkl 0 4 0

---

No. 2
Structure and computed XRD peak list of Li4MnCo2O7 (a crystal structure in the Materials Project, relaxed with PBE+U; λ = 1.5418 Å (Cu Kα)).
Peak positions follow from Bragg's law for the DFT cell and can differ from measured ones.

Unit cell a=4.9959 b=5.2909 c=10.2050 alpha=95.43 beta=101.68 gamma=102.80
Space group P-1 (No. 2)
Unique sites:
Li (0.0000, 0.0000, 0.0000) x1
Li (0.0000, 0.0000, 0.5000) x1
Li (0.1428, 0.2841, 0.2889) x2
Li (0.2845, 0.5687, 0.5706) x2
Li (0.4257, 0.8558, 0.8556) x2
Mn (0.2881, 0.5758, 0.0745) x2
Co (0.1414, 0.2803, 0.7823) x2
Co (0.4362, 0.8718, 0.3638) x2
O (0.0674, 0.6360, 0.9018) x2
O (0.0903, 0.6549, 0.3792) x2
O (0.2052, 0.9199, 0.1914) x2
O (0.2469, 0.9488, 0.6759) x2
O (0.3570, 0.2213, 0.9524) x2
O (0.3751, 0.1990, 0.4713) x2
O (0.4868, 0.4868, 0.7560) x2

Peak list (10 most intense, 10° ≤ 2θ ≤ 90°, by angle)
- 2θ 18.36, rel. 100, hkl 0 1 -1
- 2θ 33.83, rel. 21, hkl -1 1 3
- 2θ 36.62, rel. 12, hkl 1 0 3
- 2θ 36.92, rel. 16, hkl 2 0 -1
- 2θ 40.51, rel. 37, hkl -1 2 2
- 2θ 44.60, rel. 27, hkl 1 -1 4
- 2θ 45.08, rel. 25, hkl 2 1 -2
- 2θ 61.63, rel. 8, hkl 0 1 6
- 2θ 62.01, rel. 17, hkl 2 -3 2
- 2θ 62.38, rel. 8, hkl 1 3 0

---

No. 3
Structure and computed XRD peak list of Li2MnCoO4 (a crystal structure in the Materials Project, relaxed with PBE+U; λ = 1.5418 Å (Cu Kα)).
Peak positions follow from Bragg's law for the DFT cell and can differ from measured ones.

Unit cell a=5.3291 b=2.9065 c=9.8203 alpha=90.00 beta=96.86 gamma=90.00
Space group C2/m (No. 12)
Unique sites:
Li (0.2491, 0.0000, 0.2471) x4
Mn (0.0000, 0.0000, 0.5000) x2
Co (0.0000, 0.5000, 0.0000) x2
O (0.1044, 0.5000, 0.3838) x4
O (0.1284, 0.0000, 0.8869) x4

Peak list (10 most intense, 10° ≤ 2θ ≤ 90°, by angle)
- 2θ 18.20, rel. 100, hkl 0 0 2
- 2θ 33.88, rel. 20, hkl 2 0 0
- 2θ 35.92, rel. 25, hkl 1 1 -1
- 2θ 36.98, rel. 9, hkl 1 1 1
- 2θ 40.70, rel. 32, hkl 2 0 2
- 2θ 43.88, rel. 50, hkl 1 1 -3
- 2θ 46.54, rel. 11, hkl 1 1 3
- 2θ 57.88, rel. 9, hkl 1 1 -5
- 2θ 61.24, rel. 16, hkl 3 1 -1
- 2θ 61.53, rel. 16, hkl 1 1 5

---

No. 4
Structure and computed XRD peak list of Li7Mn2Co3O12 (a crystal structure in the Materials Project, relaxed with PBE+U; λ = 1.5418 Å (Cu Kα)).
Peak positions follow from Bragg's law for the DFT cell and can differ from measured ones.

Unit cell a=9.7902 b=2.9230 c=15.2925 alpha=90.00 beta=100.04 gamma=90.00
Space group C2/m (No. 12)
Unique sites:
Li (0.0000, 0.0000, 0.0000) x2
Li (0.2462, 0.0000, 0.2477) x4
Li (0.2491, 0.5000, 0.0766) x4
Li (0.2501, 0.0000, 0.5836) x4
Mn (0.0051, 0.5000, 0.8395) x4
Co (0.0000, 0.5000, 0.5000) x2
Co (0.0006, 0.0000, 0.6673) x4
O (0.1083, 0.0000, 0.1315) x4
O (0.1091, 0.5000, 0.2882) x4
O (0.1118, 0.0000, 0.7938) x4
O (0.1146, 0.0000, 0.4583) x4
O (0.1168, 0.5000, 0.6262) x4
O (0.1183, 0.5000, 0.9466) x4

Peak list (10 most intense, 10° ≤ 2θ ≤ 90°, by angle)
- 2θ 18.40, rel. 100, hkl 2 0 0
- 2θ 35.78, rel. 13, hkl 0 0 6
- 2θ 35.96, rel. 25, hkl 1 1 -3
- 2θ 43.46, rel. 27, hkl 2 0 6
- 2θ 43.59, rel. 55, hkl 3 1 -3
- 2θ 47.71, rel. 8, hkl 3 1 3
- 2θ 57.54, rel. 10, hkl 5 1 -3
- 2θ 63.18, rel. 15, hkl 5 1 3
- 2θ 63.31, rel. 15, hkl 1 1 -9
- 2θ 66.55, rel. 9, hkl 3 1 -9

---

No. 5
Structure and computed XRD peak list of Li4Mn3CoO8 (a crystal structure in the Materials Project, relaxed with PBE+U; λ = 1.5418 Å (Cu Kα)).
Peak positions follow from Bragg's law for the DFT cell and can differ from measured ones.

Unit cell a=10.2196 b=6.0562 c=5.0945 alpha=90.00 beta=106.80 gamma=90.00
Space group C2/m (No. 12)
Unique sites:
Li (0.0000, 0.2352, 0.0000) x4
Li (0.2399, 0.0000, 0.9843) x4
Mn (0.0000, 0.0000, 0.5000) x2
Mn (0.2500, 0.2500, 0.5000) x4
Co (0.0000, 0.5000, 0.5000) x2
O (0.1138, 0.0000, 0.2557) x4
O (0.1184, 0.2314, 0.7181) x8
O (0.1435, 0.5000, 0.2844) x4

Peak list (10 most intense, 10° ≤ 2θ ≤ 90°, by angle)
- 2θ 18.19, rel. 100, hkl 0 0 1
- 2θ 34.85, rel. 28, hkl 2 2 0
- 2θ 36.01, rel. 13, hkl 4 0 -1
- 2θ 36.90, rel. 13, hkl 0 0 2
- 2θ 42.10, rel. 54, hkl 2 2 1
- 2θ 44.23, rel. 24, hkl 4 0 -2
- 2θ 47.28, rel. 9, hkl 2 2 -2
- 2θ 55.72, rel. 10, hkl 2 2 2
- 2θ 62.63, rel. 14, hkl 6 2 -1
- 2θ 62.78, rel. 13, hkl 2 2 -3

---

No. 6
Structure and computed XRD peak list of Li7Mn4CoO12 (a crystal structure in the Materials Project, relaxed with PBE+U; λ = 1.5418 Å (Cu Kα)).
Peak positions follow from Bragg's law for the DFT cell and can differ from measured ones.

Unit cell a=2.9712 b=9.9141 c=15.1683 alpha=78.28 beta=87.57 gamma=87.30
Space group P-1 (No. 2)
Unique sites:
Li (0.0000, 0.0000, 0.0000) x1
Li (0.0037, 0.7558, 0.9211) x2
Li (0.0066, 0.7471, 0.2501) x2
Li (0.0163, 0.2411, 0.4263) x2
Li (0.4796, 0.7592, 0.0737) x2
Li (0.4893, 0.2455, 0.5780) x2
Li (0.4898, 0.2539, 0.2502) x2
Li (0.5000, 0.0000, 0.5000) x1
Mn (0.0085, 0.0040, 0.6615) x2
Mn (0.0158, 0.4976, 0.8336) x2
Mn (0.4901, 0.9965, 0.8382) x2
Mn (0.4986, 0.5021, 0.6639) x2
Co (0.0000, 0.5000, 0.5000) x1
Co (0.5000, 0.5000, 0.0000) x1
O (0.0078, 0.1178, 0.5516) x2
O (0.0111, 0.8946, 0.7917) x2
O (0.0160, 0.3823, 0.9545) x2
O (0.0316, 0.8919, 0.1333) x2
O (0.0389, 0.6129, 0.3827) x2
O (0.0409, 0.6191, 0.7132) x2
O (0.4479, 0.3856, 0.1197) x2
O (0.4691, 0.1078, 0.3667) x2
O (0.4703, 0.3808, 0.7846) x2
O (0.4706, 0.3826, 0.4559) x2
O (0.4885, 0.8824, 0.9482) x2
O (0.4886, 0.1062, 0.7080) x2

Peak list (10 most intense, 10° ≤ 2θ ≤ 90°, by angle)
- 2θ 13.48, rel. 9, hkl 0 1 2
- 2θ 18.29, rel. 100, hkl 0 2 0
- 2θ 34.68, rel. 18, hkl 1 1 3
- 2θ 36.35, rel. 23, hkl -1 1 3
- 2θ 41.60, rel. 34, hkl 1 3 3
- 2θ 44.16, rel. 28, hkl -1 3 3
- 2θ 44.33, rel. 27, hkl 0 2 -6
- 2θ 61.91, rel. 8, hkl 0 6 6
- 2θ 62.30, rel. 8, hkl 1 1 9
- 2θ 62.52, rel. 8, hkl 1 5 -3

---

No. 7
Structure and computed XRD peak list of Li5Mn2CoO8 (a crystal structure in the Materials Project, relaxed with PBE+U; λ = 1.5418 Å (Cu Kα)).
Peak positions follow from Bragg's law for the DFT cell and can differ from measured ones.

Unit cell a=5.1518 b=2.9233 c=9.8320 alpha=90.00 beta=101.10 gamma=90.00
Space group Pm (No. 6)
Unique sites:
Li (0.0000, 0.0000, 0.0000) x1
Li (0.0023, 0.5000, 0.5113) x1
Li (0.2401, 0.5000, 0.2733) x1
Li (0.4978, 0.0000, 0.5261) x1
Li (0.7430, 0.5000, 0.7437) x1
Mn (0.4910, 0.5000, 0.0082) x1
Mn (0.7570, 0.0000, 0.2667) x1
Co (0.2192, 0.0000, 0.7395) x1
O (0.0883, 0.0000, 0.3683) x1
O (0.1554, 0.5000, 0.8932) x1
O (0.3718, 0.5000, 0.6439) x1
O (0.3964, 0.0000, 0.1246) x1
O (0.6048, 0.0000, 0.9040) x1
O (0.6326, 0.5000, 0.3647) x1
O (0.8392, 0.5000, 0.1405) x1
O (0.8872, 0.0000, 0.6445) x1

Peak list (10 most intense, 10° ≤ 2θ ≤ 90°, by angle)
- 2θ 18.18, rel. 100, hkl 1 0 -1
- 2θ 18.39, rel. 11, hkl 0 0 2
- 2θ 27.74, rel. 12, hkl 0 0 3
- 2θ 35.85, rel. 14, hkl 1 0 3
- 2θ 35.92, rel. 24, hkl 0 1 2
- 2θ 43.31, rel. 61, hkl 1 1 -3
- 2θ 43.50, rel. 28, hkl 2 0 2
- 2θ 56.93, rel. 10, hkl 2 1 -4
- 2θ 62.76, rel. 16, hkl 3 1 -1
- 2θ 63.37, rel. 14, hkl 1 1 5

---

No. 8
Structure and computed XRD peak list of Li4Mn3CoO8 (a crystal structure in the Materials Project, relaxed with PBE+U; λ = 1.5418 Å (Cu Kα)).
Peak positions follow from Bragg's law for the DFT cell and can differ from measured ones.

Unit cell a=3.0939 b=5.0693 c=10.0159 alpha=77.24 beta=84.37 gamma=85.13
Space group P-1 (No. 2)
Unique sites:
Li (0.0006, 0.2515, 0.2509) x2
Li (0.4994, 0.7473, 0.2526) x2
Mn (0.0000, 0.0000, 0.0000) x1
Mn (0.5000, 0.0000, 0.5000) x1
Mn (0.5000, 0.5000, 0.0000) x1
Co (0.0000, 0.5000, 0.5000) x1
O (0.0214, 0.1420, 0.6141) x2
O (0.0237, 0.6349, 0.1164) x2
O (0.4760, 0.8652, 0.8828) x2
O (0.4778, 0.3678, 0.3865) x2

Peak list (10 most intense, 10° ≤ 2θ ≤ 90°, by angle)
- 2θ 18.22, rel. 100, hkl 0 0 2
- 2θ 32.86, rel. 23, hkl 1 1 1
- 2θ 36.26, rel. 17, hkl -1 1 1
- 2θ 36.42, rel. 12, hkl 0 2 0
- 2θ 36.98, rel. 9, hkl 0 0 4
- 2θ 39.29, rel. 37, hkl 1 1 3
- 2θ 44.40, rel. 25, hkl -1 1 3
- 2θ 44.60, rel. 24, hkl 0 2 -2
- 2θ 60.24, rel. 9, hkl 2 0 0
- 2θ 61.27, rel. 16, hkl 0 2 6